For Li5Fe2P2C2O14, a crystal structure in the Materials Project, relaxed with PBE+U gives the theoretical powder XRD pattern in this record (Cu Ka).
Intensities are scaled so that the largest is 100.

Most intense lines, 10° ≤ 2θ ≤ 80°, sorted by position:
2θ 10.57, d 8.372, intensity 83
2θ 19.75, d 4.496, intensity 42
2θ 21.41, d 4.151, intensity 60
2θ 26.44, d 3.371, intensity 35
2θ 27.32, d 3.264, intensity 100
2θ 36.34, d 2.472, intensity 24

Crystal structure
```
data_Li5Fe2P2C2O14
_chemical_formula_sum 'Li10 Fe4 P4 C4 O28'
_symmetry_space_group_name_H-M 'P 1'
_symmetry_Int_Tables_number 1
_symmetry_space_group_name_Hall 'P 1'
_cell_length_a 8.251
_cell_length_b 8.262
_cell_length_c 9.410
_cell_angle_alpha 105.41
_cell_angle_beta 107.02
_cell_angle_gamma 104.53
loop_
_atom_site_label
_atom_site_type_symbol
_atom_site_fract_x
_atom_site_fract_y
_atom_site_fract_z
Li1 Li 0.026 0.012 0.267
Li2 Li 0.184 0.438 0.896
Li3 Li 0.255 0.766 0.269
Li4 Li 0.311 0.052 0.096
Li5 Li 0.465 0.510 0.719
Li6 Li 0.535 0.490 0.281
Li7 Li 0.689 0.948 0.904
Li8 Li 0.745 0.234 0.731
Li9 Li 0.816 0.562 0.104
Li10 Li 0.974 0.988 0.733
Fe1 Fe 0.181 0.432 0.332
Fe2 Fe 0.308 0.054 0.669
Fe3 Fe 0.692 0.946 0.331
Fe4 Fe 0.819 0.568 0.668
P1 P 0.058 0.296 0.586
P2 P 0.444 0.194 0.419
P3 P 0.556 0.806 0.581
P4 P 0.942 0.704 0.414
C1 C 0.006 0.764 0.969
C2 C 0.498 0.734 0.044
C3 C 0.502 0.266 0.956
C4 C 0.994 0.236 0.031
O1 O 0.027 0.815 0.854
O2 O 0.032 0.606 0.314
O3 O 0.081 0.847 0.579
O4 O 0.116 0.861 0.117
O5 O 0.123 0.386 0.067
O6 O 0.150 0.205 0.698
O7 O 0.205 0.422 0.556
O8 O 0.294 0.067 0.453
O9 O 0.358 0.284 0.308
O10 O 0.368 0.119 0.924
O11 O 0.406 0.616 0.906
O12 O 0.409 0.669 0.420
O13 O 0.467 0.717 0.171
O14 O 0.484 0.929 0.683
O15 O 0.516 0.071 0.317
O16 O 0.533 0.283 0.829
O17 O 0.591 0.331 0.580
O18 O 0.594 0.384 0.094
O19 O 0.632 0.881 0.076
O20 O 0.642 0.716 0.692
O21 O 0.706 0.933 0.547
O22 O 0.795 0.578 0.444
O23 O 0.850 0.795 0.302
O24 O 0.877 0.614 0.933
O25 O 0.884 0.139 0.883
O26 O 0.919 0.153 0.421
O27 O 0.968 0.394 0.686
O28 O 0.973 0.185 0.146
```